This entry pairs a crystal structure of Sr2SbPd7 with its simulated X-ray powder pattern. Radiation: Cu Kα, 1.54184 Å. Structure: a cell relaxed with PBE.

Most intense lines, 10° ≤ 2θ ≤ 90°, sorted by position:
two_theta	d [Å]	I (rel.)	hkl
22.33	3.982	158	1 0 1
30.83	2.900	306	1 0 3
33.55	2.671	943	1 1 2
42.82	2.112	1000	2 0 0
43.45	2.083	273	1 0 5
62.20	1.492	173	2 2 0
62.66	1.483	187	2 1 5
72.55	1.303	194	3 1 2

Atomic structure:
a b c (Å): 4.221 4.221 11.973
angles (deg): 90.00 90.00 90.00
Space group P-4m2 (No. 115)
Symmetry-distinct sites (fractional):
Sr (0.000, 0.500, 0.226) (multiplicity 2)
Sb (0.000, 0.000, 0.500) (multiplicity 1)
Pd (0.000, 0.000, 0.000) (multiplicity 1)
Pd (0.000, 0.500, 0.641) (multiplicity 2)
Pd (0.000, 0.500, 0.858) (multiplicity 2)
Pd (0.500, 0.500, 0.000) (multiplicity 1)
Pd (0.500, 0.500, 0.500) (multiplicity 1)